This entry pairs a crystal structure of Rb2PbI3Cl with its computed XRD peak list. Radiation: Cu Kα. Structure: a cell relaxed with PBE.

Crystal structure
a b c (Å): 10.4375 10.4375 10.4375
angles (deg): 148.40 144.77 48.04
Fractional positions:
Rb 0.1391 0.1391 0.0000
Rb 0.8609 0.8609 0.0000
Pb 0.5000 0.5000 0.0000
I 0.0000 0.5000 0.5000
I 0.3303 0.3303 0.0000
I 0.6697 0.6697 0.0000
Cl 0.5000 0.0000 0.5000

Most intense lines, 2θ = 10–90°, low angle first:
2θ/deg	d/Å	I_rel
16.3	5.447	50
21.0	4.227	78
27.3	3.265	17
28.1	3.178	38
28.2	3.162	100
31.5	2.842	35
32.8	2.732	19
35.3	2.540	24
40.3	2.238	57
42.7	2.118	24
42.8	2.113	30
52.0	1.759	27

This entry pairs a crystal structure of Rb3H2Br4 with its computed XRD peak list. Radiation: Cu Kα. Structure: a cell relaxed with PBE.

Crystal structure
a b c (Å): 9.1420 9.1420 9.1116
angles (deg): 99.92 99.92 69.33
Fractional positions:
Rb 0.0452 0.9548 0.7500
Rb 0.2471 0.4447 0.3450
Rb 0.4447 0.2471 0.8450
Rb 0.5553 0.7529 0.1550
Rb 0.7529 0.5553 0.6550
Rb 0.9548 0.0452 0.2500
H 0.0242 0.2577 0.0249
H 0.2577 0.0242 0.5249
H 0.7423 0.9758 0.4751
H 0.9758 0.7423 0.9751
Br 0.1119 0.2460 0.5701
Br 0.1605 0.6509 0.0051
Br 0.2460 0.1119 0.0701
Br 0.3491 0.8395 0.4949
Br 0.6509 0.1605 0.5051
Br 0.7540 0.8881 0.9299
Br 0.8395 0.3491 0.9949
Br 0.8881 0.7540 0.4299

Most intense lines, 2θ = 10–90°, low angle first:
2θ/deg	d/Å	I_rel
10.4	8.491	27
19.8	4.491	25
24.1	3.700	79
25.5	3.494	100
26.4	3.380	35
27.8	3.207	41
28.0	3.181	54
28.7	3.106	63
30.7	2.915	27
30.8	2.903	41
32.0	2.797	72
40.7	2.219	55

This entry pairs a crystal structure of Na2In2Te3 with its computed XRD peak list. Radiation: Cu Kα. Structure: a cell relaxed with PBE.

Crystal structure
a b c (Å): 8.9602 8.3092 7.9208
angles (deg): 90.00 114.67 90.00
Fractional positions:
Na 0.0623 0.1620 0.1834
Na 0.0623 0.3380 0.6834
Na 0.9377 0.6620 0.3166
Na 0.9377 0.8380 0.8166
In 0.3412 0.5940 0.2574
In 0.3412 0.9060 0.7574
In 0.6588 0.0940 0.2426
In 0.6588 0.4060 0.7426
Te 0.0000 0.0000 0.5000
Te 0.0000 0.5000 0.0000
Te 0.3312 0.5589 0.6403
Te 0.3312 0.9411 0.1403
Te 0.6688 0.0589 0.8597
Te 0.6688 0.4411 0.3597

Most intense lines, 2θ = 10–90°, low angle first:
2θ/deg	d/Å	I_rel
15.2	5.816	71
16.5	5.374	72
21.4	4.155	77
22.3	3.980	37
22.5	3.959	100
24.3	3.656	41
31.2	2.866	51
33.0	2.715	83
34.2	2.622	50
39.1	2.305	33
39.3	2.290	36
39.7	2.270	53

This entry pairs a crystal structure of KTiTl2Se4 with its computed XRD peak list. Radiation: Cu Kα. Structure: a cell relaxed with PBE.

Crystal structure
a b c (Å): 7.7290 7.7290 7.1082
angles (deg): 117.36 117.36 98.90
Fractional positions:
K 0.0000 0.0000 0.0000
Ti 0.7500 0.2500 0.5000
Tl 0.2498 0.7502 0.5000
Tl 0.5000 0.5000 0.0000
Se 0.0820 0.3671 0.5429
Se 0.4612 0.1756 0.0940
Se 0.6329 0.9180 0.4572
Se 0.8244 0.5388 0.9060

Most intense lines, 2θ = 10–90°, low angle first:
2θ/deg	d/Å	I_rel
14.6	6.082	34
23.3	3.819	100
26.0	3.429	12
29.1	3.069	27
35.7	2.513	24
36.4	2.468	15
38.8	2.323	10
39.8	2.264	39
43.1	2.099	31
50.0	1.824	11
63.0	1.476	12
66.9	1.398	10

This entry pairs a crystal structure of TbIn4Hg4 with its computed XRD peak list. Radiation: Cu Kα. Structure: a cell relaxed with PBE.

Crystal structure
a b c (Å): 4.9526 4.9526 11.7752
angles (deg): 103.26 103.26 60.20
Fractional positions:
Tb 0.0000 0.0000 0.0000
In 0.1919 0.1919 0.5846
In 0.4000 0.4000 0.1920
In 0.6000 0.6000 0.8080
In 0.8081 0.8081 0.4154
Hg 0.1084 0.1084 0.3111
Hg 0.2946 0.2946 0.8894
Hg 0.7054 0.7054 0.1106
Hg 0.8916 0.8916 0.6889

Most intense lines, 2θ = 10–90°, low angle first:
2θ/deg	d/Å	I_rel
20.9	4.259	16
33.2	2.697	53
33.8	2.654	100
36.2	2.484	47
36.3	2.476	87
49.9	1.827	38
50.9	1.794	15
58.0	1.590	19
63.0	1.476	17
63.5	1.465	16
64.0	1.454	15
65.1	1.432	16

This entry pairs a crystal structure of LiSi2Pd7 with its computed XRD peak list. Radiation: Cu Kα. Structure: a cell relaxed with PBE.

Crystal structure
a b c (Å): 6.8413 6.8413 4.3709
angles (deg): 90.00 90.00 115.71
Fractional positions:
Li 0.0000 0.0000 0.0000
Si 0.2990 0.7010 0.5000
Si 0.7010 0.2990 0.5000
Pd 0.0662 0.3189 0.5000
Pd 0.2299 0.7701 0.0000
Pd 0.3189 0.0662 0.5000
Pd 0.5000 0.5000 0.5000
Pd 0.6811 0.9338 0.5000
Pd 0.7701 0.2299 0.0000
Pd 0.9338 0.6811 0.5000

Most intense lines, 2θ = 10–90°, low angle first:
2θ/deg	d/Å	I_rel
20.3	4.371	100
25.5	3.489	52
26.1	3.411	45
32.0	2.797	63
35.6	2.519	48
37.2	2.414	72
37.9	2.375	36
39.8	2.266	100
41.3	2.185	72
43.4	2.087	68
46.1	1.971	50
58.7	1.573	63

Question: What is the formula in the first record?
Answer: Rb2PbI3Cl

Question: Which formula does entry 4 have?
Answer: KTiTl2Se4